TbCrB4: calculated powder XRD pattern (a wavelength of 1.5418 Å), based on a DFT-relaxed cell (GGA-PBE, the Materials Project).

The 10 most intense peaks (2θ = 5–70°), sorted by position:
2θ 21.52, rel. 31, (1 2 0)
2θ 25.74, rel. 68, (0 0 1)
2θ 27.72, rel. 39, (1 3 0)
2θ 31.11, rel. 83, (2 1 0)
2θ 33.79, rel. 27, (1 2 1)
2θ 38.19, rel. 42, (1 3 1)
2θ 40.80, rel. 100, (2 1 1)
2θ 43.71, rel. 25, (1 4 1)
2θ 46.76, rel. 20, (2 3 1)
2θ 62.66, rel. 23, (2 1 2)

Structure:
Cell: 5.944 11.484 3.461 Å, 90.00 90.00 90.00°
Positions (direct):
Tb 0.125 0.151 0.000
Tb 0.375 0.651 0.000
Tb 0.625 0.349 0.000
Tb 0.875 0.849 0.000
Cr 0.122 0.421 0.000
Cr 0.378 0.921 0.000
Cr 0.622 0.079 0.000
Cr 0.878 0.579 0.000
B 0.024 0.691 0.500
B 0.113 0.547 0.500
B 0.137 0.967 0.500
B 0.219 0.816 0.500
B 0.281 0.316 0.500
B 0.363 0.467 0.500
B 0.387 0.047 0.500
B 0.476 0.191 0.500
B 0.524 0.809 0.500
B 0.613 0.953 0.500
B 0.637 0.533 0.500
B 0.719 0.684 0.500
B 0.781 0.184 0.500
B 0.863 0.033 0.500
B 0.887 0.453 0.500
B 0.976 0.309 0.500